# 1
Computed X-ray powder pattern of Nd8Ga2Pd for Cu Kα, 1.54184 Å, from the PBE geometry in Alexandria.
No peak broadening, texture or thermal motion is included.

Main lines, low angle first (10° ≤ 2θ ≤ 90°):
- 25.8°, intensity 12.6
- 30.8°, intensity 24.6
- 32.2°, intensity 34.3
- 32.8°, intensity 100.0
- 36.1°, intensity 30.0
- 37.4°, intensity 25.4
- 48.2°, intensity 14.2
- 52.9°, intensity 11.1
- 54.1°, intensity 8.9
- 61.0°, intensity 11.2
- 62.9°, intensity 15.2
- 66.8°, intensity 9.4

Lattice parameters (Å, degrees): 8.839 8.839 8.839 147.33 119.55 70.42
Fractional coordinates of all 11 atoms:
Nd: 0.122 0.339 0.783
Nd: 0.128 0.128 0.000
Nd: 0.329 0.000 0.329
Nd: 0.444 0.661 0.783
Nd: 0.556 0.339 0.217
Nd: 0.671 0.000 0.671
Nd: 0.872 0.872 0.000
Nd: 0.878 0.661 0.217
Ga: 0.302 0.802 0.500
Ga: 0.698 0.198 0.500
Pd: 0.000 0.500 0.500

---

# 2
Computed X-ray powder pattern of Pr2Zn4Ga3Hg for Cu Kα, 1.54184 Å, from the PBE geometry in Alexandria.
No peak broadening, texture or thermal motion is included.

Main lines, low angle first (10° ≤ 2θ ≤ 90°):
- 22.1°, intensity 10.2
- 32.4°, intensity 41.4
- 33.7°, intensity 100.0
- 41.7°, intensity 49.6
- 44.8°, intensity 14.1
- 47.1°, intensity 20.9
- 53.7°, intensity 19.6
- 59.7°, intensity 11.2
- 60.4°, intensity 16.2
- 64.7°, intensity 15.8
- 71.0°, intensity 22.4
- 84.8°, intensity 10.2

Lattice parameters (Å, degrees): 4.334 4.334 10.766 90.00 90.00 90.00
Fractional coordinates of all 10 atoms:
Pr: 0.000 0.500 0.241
Pr: 0.500 0.000 0.759
Zn: 0.000 0.000 0.000
Zn: 0.000 0.500 0.643
Zn: 0.500 0.000 0.357
Zn: 0.500 0.500 0.000
Ga: 0.000 0.500 0.870
Ga: 0.500 0.000 0.130
Ga: 0.500 0.500 0.500
Hg: 0.000 0.000 0.500

---

# 3
Computed X-ray powder pattern of RbZn2Pd for Cu Kα, 1.54184 Å, from the PBE geometry in Alexandria.
No peak broadening, texture or thermal motion is included.

Main lines, low angle first (10° ≤ 2θ ≤ 90°):
- 17.5°, intensity 51.3
- 26.0°, intensity 100.0
- 33.8°, intensity 24.9
- 35.5°, intensity 23.7
- 39.9°, intensity 31.2
- 40.1°, intensity 30.8
- 41.3°, intensity 11.4
- 42.6°, intensity 19.4
- 53.4°, intensity 39.3
- 55.5°, intensity 11.7
- 55.9°, intensity 23.0
- 64.6°, intensity 14.7

Lattice parameters (Å, degrees): 5.306 5.306 16.963 90.00 90.00 90.00
Fractional coordinates of all 16 atoms:
Rb: 0.000 0.250 0.375
Rb: 0.000 0.750 0.625
Rb: 0.500 0.250 0.125
Rb: 0.500 0.750 0.875
Zn: 0.000 0.000 0.000
Zn: 0.000 0.500 0.000
Zn: 0.250 0.250 0.750
Zn: 0.250 0.750 0.250
Zn: 0.500 0.000 0.500
Zn: 0.500 0.500 0.500
Zn: 0.750 0.250 0.750
Zn: 0.750 0.750 0.250
Pd: 0.000 0.250 0.875
Pd: 0.000 0.750 0.125
Pd: 0.500 0.250 0.625
Pd: 0.500 0.750 0.375

---

# 4
Computed X-ray powder pattern of ErScNiOs for Cu Kα, 1.54184 Å, from the PBE geometry in Alexandria.
No peak broadening, texture or thermal motion is included.

Main lines, low angle first (10° ≤ 2θ ≤ 90°):
- 13.7°, intensity 34.6
- 30.4°, intensity 32.6
- 38.5°, intensity 52.4
- 38.9°, intensity 100.0
- 41.1°, intensity 10.0
- 55.6°, intensity 17.8
- 56.8°, intensity 7.8
- 58.1°, intensity 7.9
- 64.7°, intensity 8.2
- 70.0°, intensity 34.9
- 70.7°, intensity 15.9
- 83.5°, intensity 10.2

Lattice parameters (Å, degrees): 3.304 3.304 6.487 90.00 90.00 90.00
Fractional coordinates of all 4 atoms:
Er: 0.000 0.000 0.000
Sc: 0.000 0.000 0.504
Ni: 0.500 0.500 0.266
Os: 0.500 0.500 0.734

---

# 5
Computed X-ray powder pattern of LaDy2Tm12 for Cu Kα, 1.54184 Å, from the PBE geometry in Alexandria.
No peak broadening, texture or thermal motion is included.

Main lines, low angle first (10° ≤ 2θ ≤ 90°):
- 30.7°, intensity 100.0
- 31.5°, intensity 40.2
- 32.5°, intensity 67.2
- 32.6°, intensity 38.4
- 32.8°, intensity 71.4
- 34.0°, intensity 28.0
- 36.6°, intensity 16.8
- 46.7°, intensity 28.3
- 51.8°, intensity 18.1
- 58.2°, intensity 14.2
- 61.5°, intensity 18.3
- 62.5°, intensity 20.6

Lattice parameters (Å, degrees): 6.543 6.543 24.092 92.23 92.23 114.77
Fractional coordinates of all 30 atoms:
La: 0.236 0.236 0.000
La: 0.764 0.764 0.000
Dy: 0.069 0.069 0.273
Dy: 0.434 0.434 0.727
Dy: 0.566 0.566 0.273
Dy: 0.931 0.931 0.727
Tm: 0.050 0.549 0.203
Tm: 0.081 0.584 0.332
Tm: 0.136 0.640 0.554
Tm: 0.144 0.144 0.572
Tm: 0.214 0.214 0.860
Tm: 0.234 0.729 0.923
Tm: 0.271 0.766 0.077
Tm: 0.283 0.283 0.140
Tm: 0.358 0.358 0.426
Tm: 0.360 0.864 0.446
Tm: 0.416 0.919 0.668
Tm: 0.451 0.950 0.797
Tm: 0.549 0.050 0.203
Tm: 0.584 0.081 0.332
Tm: 0.640 0.136 0.554
Tm: 0.642 0.642 0.574
Tm: 0.717 0.717 0.860
Tm: 0.729 0.234 0.923
Tm: 0.766 0.271 0.077
Tm: 0.786 0.786 0.140
Tm: 0.856 0.856 0.428
Tm: 0.864 0.360 0.446
Tm: 0.919 0.416 0.668
Tm: 0.950 0.451 0.797

---

# 6
Computed X-ray powder pattern of Ca2Si for Cu Kα, 1.54184 Å, from the PBE geometry in Alexandria.
No peak broadening, texture or thermal motion is included.

Main lines, low angle first (10° ≤ 2θ ≤ 90°):
- 14.3°, intensity 34.4
- 28.1°, intensity 58.7
- 28.9°, intensity 45.7
- 29.7°, intensity 33.0
- 31.0°, intensity 100.0
- 32.8°, intensity 42.8
- 33.1°, intensity 85.3
- 39.9°, intensity 31.4
- 40.6°, intensity 42.7
- 41.2°, intensity 22.5
- 45.4°, intensity 19.5
- 50.6°, intensity 28.4

Lattice parameters (Å, degrees): 13.334 4.441 7.214 90.00 121.15 90.00
Fractional coordinates of all 12 atoms:
Ca: 0.020 0.000 0.248
Ca: 0.210 0.500 0.749
Ca: 0.290 0.000 0.251
Ca: 0.480 0.500 0.752
Ca: 0.520 0.500 0.248
Ca: 0.710 0.000 0.749
Ca: 0.790 0.500 0.251
Ca: 0.980 0.000 0.752
Si: 0.110 0.500 0.087
Si: 0.390 0.000 0.913
Si: 0.610 0.000 0.087
Si: 0.890 0.500 0.913

---

# 7
Computed X-ray powder pattern of KTlGe for Cu Kα, 1.54184 Å, from the PBE geometry in Alexandria.
No peak broadening, texture or thermal motion is included.

Main lines, low angle first (10° ≤ 2θ ≤ 90°):
- 10.3°, intensity 100.0
- 17.7°, intensity 20.7
- 20.5°, intensity 24.8
- 22.3°, intensity 24.1
- 28.7°, intensity 64.6
- 33.9°, intensity 90.9
- 35.9°, intensity 24.4
- 40.1°, intensity 17.9
- 41.5°, intensity 18.0
- 46.6°, intensity 12.2
- 55.0°, intensity 17.4
- 63.3°, intensity 15.0

Lattice parameters (Å, degrees): 4.492 5.000 8.618 90.00 90.06 90.00
Fractional coordinates of all 6 atoms:
K: 0.000 0.000 0.000
K: 0.498 0.500 0.325
Tl: 0.499 0.000 0.680
Tl: 0.999 0.000 0.434
Ge: 0.000 0.500 0.675
Ge: 0.501 0.500 0.863

---

# 8
Computed X-ray powder pattern of Na3Tl6Pb2 for Cu Kα, 1.54184 Å, from the PBE geometry in Alexandria.
No peak broadening, texture or thermal motion is included.

Main lines, low angle first (10° ≤ 2θ ≤ 90°):
- 20.9°, intensity 12.6
- 25.1°, intensity 6.0
- 26.8°, intensity 5.4
- 32.5°, intensity 100.0
- 33.3°, intensity 2.8
- 46.6°, intensity 18.3
- 49.5°, intensity 3.2
- 51.7°, intensity 2.9
- 58.0°, intensity 37.7
- 68.1°, intensity 11.5
- 77.5°, intensity 15.7
- 86.6°, intensity 3.2

Lattice parameters (Å, degrees): 12.783 12.783 12.783 24.88 24.88 24.88
Fractional coordinates of all 11 atoms:
Na: 0.000 0.000 0.000
Na: 0.271 0.271 0.271
Na: 0.729 0.729 0.729
Tl: 0.088 0.088 0.088
Tl: 0.179 0.179 0.179
Tl: 0.361 0.361 0.361
Tl: 0.639 0.639 0.639
Tl: 0.821 0.821 0.821
Tl: 0.912 0.912 0.912
Pb: 0.452 0.452 0.452
Pb: 0.548 0.548 0.548

---

# 9
Computed X-ray powder pattern of Sc2Fe5CoSi2 for Cu Kα, 1.54184 Å, from the PBE geometry in Alexandria.
No peak broadening, texture or thermal motion is included.

Main lines, low angle first (10° ≤ 2θ ≤ 90°):
- 19.6°, intensity 8.6
- 35.6°, intensity 16.4
- 39.6°, intensity 21.2
- 41.0°, intensity 34.5
- 42.2°, intensity 100.0
- 44.6°, intensity 13.8
- 45.7°, intensity 24.4
- 50.2°, intensity 5.5
- 57.2°, intensity 14.8
- 69.4°, intensity 6.5
- 72.7°, intensity 10.8
- 80.5°, intensity 8.7

Lattice parameters (Å, degrees): 9.079 9.079 3.222 90.00 90.00 90.00
Fractional coordinates of all 20 atoms:
Sc: 0.172 0.328 0.000
Sc: 0.328 0.828 0.000
Sc: 0.672 0.172 0.000
Sc: 0.828 0.672 0.000
Fe: 0.000 0.500 0.500
Fe: 0.062 0.802 0.500
Fe: 0.198 0.062 0.500
Fe: 0.302 0.562 0.500
Fe: 0.438 0.302 0.500
Fe: 0.500 0.000 0.500
Fe: 0.562 0.698 0.500
Fe: 0.698 0.438 0.500
Fe: 0.802 0.938 0.500
Fe: 0.938 0.198 0.500
Co: 0.000 0.000 0.000
Co: 0.500 0.500 0.000
Si: 0.126 0.626 0.000
Si: 0.374 0.126 0.000
Si: 0.626 0.874 0.000
Si: 0.874 0.374 0.000

---

# 10
Computed X-ray powder pattern of Na2In5IrPd2 for Cu Kα, 1.54184 Å, from the PBE geometry in Alexandria.
No peak broadening, texture or thermal motion is included.

Main lines, low angle first (10° ≤ 2θ ≤ 90°):
- 10.6°, intensity 23.1
- 15.0°, intensity 41.1
- 16.8°, intensity 47.1
- 31.2°, intensity 19.9
- 33.9°, intensity 19.0
- 35.9°, intensity 18.7
- 37.6°, intensity 100.0
- 39.9°, intensity 25.3
- 41.1°, intensity 15.4
- 42.9°, intensity 16.7
- 43.3°, intensity 11.9
- 48.7°, intensity 14.8

Lattice parameters (Å, degrees): 11.818 11.818 3.118 90.00 90.00 90.00
Fractional coordinates of all 20 atoms:
Na: 0.178 0.322 0.000
Na: 0.322 0.822 0.000
Na: 0.678 0.178 0.000
Na: 0.822 0.678 0.000
In: 0.000 0.500 0.500
In: 0.057 0.811 0.500
In: 0.189 0.057 0.500
In: 0.311 0.557 0.500
In: 0.443 0.311 0.500
In: 0.500 0.000 0.500
In: 0.557 0.689 0.500
In: 0.689 0.443 0.500
In: 0.811 0.943 0.500
In: 0.943 0.189 0.500
Ir: 0.000 0.000 0.000
Ir: 0.500 0.500 0.000
Pd: 0.136 0.636 0.000
Pd: 0.364 0.136 0.000
Pd: 0.636 0.864 0.000
Pd: 0.864 0.364 0.000

---

# 11
Computed X-ray powder pattern of GaPHIrPtS for Cu Kα, 1.54184 Å, from the PBE geometry in Alexandria.
No peak broadening, texture or thermal motion is included.

Main lines, low angle first (10° ≤ 2θ ≤ 90°):
- 17.9°, intensity 100.0
- 18.7°, intensity 95.0
- 27.1°, intensity 35.1
- 28.6°, intensity 24.1
- 29.5°, intensity 39.0
- 30.1°, intensity 48.1
- 30.7°, intensity 59.2
- 32.4°, intensity 27.5
- 33.2°, intensity 30.9
- 42.1°, intensity 32.0
- 43.1°, intensity 23.1
- 45.8°, intensity 24.4

Lattice parameters (Å, degrees): 3.581 5.401 6.134 112.65 100.85 92.12
Fractional coordinates of all 6 atoms:
Ga: 0.000 0.000 0.000
P: 0.549 0.574 0.146
H: 0.227 0.780 0.576
Ir: 0.091 0.466 0.312
Pt: 0.411 0.663 0.811
S: 0.634 0.287 0.499

---

# 12
Computed X-ray powder pattern of CsZn2PbF7 for Cu Kα, 1.54184 Å, from the PBE geometry in Alexandria.
No peak broadening, texture or thermal motion is included.

Main lines, low angle first (10° ≤ 2θ ≤ 90°):
- 15.7°, intensity 18.7
- 27.1°, intensity 100.0
- 31.3°, intensity 38.8
- 31.7°, intensity 8.5
- 35.2°, intensity 19.4
- 38.9°, intensity 19.2
- 44.8°, intensity 25.4
- 45.2°, intensity 22.9
- 53.2°, intensity 31.5
- 60.8°, intensity 10.5
- 68.1°, intensity 8.2
- 87.8°, intensity 9.1

Lattice parameters (Å, degrees): 4.045 4.045 11.276 90.00 90.00 90.00
Fractional coordinates of all 11 atoms:
Cs: 0.000 0.000 0.000
Zn: 0.500 0.500 0.299
Zn: 0.500 0.500 0.701
Pb: 0.000 0.000 0.500
F: 0.000 0.500 0.341
F: 0.000 0.500 0.659
F: 0.500 0.000 0.341
F: 0.500 0.000 0.659
F: 0.500 0.500 0.130
F: 0.500 0.500 0.500
F: 0.500 0.500 0.870